[1]
Simulated X-ray diffraction stick pattern
Compound: Hf2ScPb
Radiation: Cu Kα (weighted mean of Kα1 and Kα2)
Structure: a crystal structure in Alexandria, relaxed with GGA-PBE
Intensities are scaled so that the largest is 100.

Structure:
```
Hf2ScPb
1.0
4.3191 0.0000 0.0000
0.0000 4.3175 0.0000
-2.1552 0.0000 10.3173
Hf Sc Pb
4 2 2
direct
0.0518 0.2500 0.1038
0.4460 0.2500 0.8918
0.5540 0.7500 0.1082
0.9482 0.7500 0.8962
0.3134 0.7500 0.6260
0.6866 0.2500 0.3740
0.1673 0.7500 0.3355
0.8327 0.2500 0.6645
```

Most intense lines, 10 to 90 degrees two-theta, most intense first:
36.6 deg, rel. 100; 32.1 deg, rel. 49; 41.8 deg, rel. 43; 73.0 deg, rel. 27; 55.5 deg, rel. 23; 34.8 deg, rel. 21; 60.7 deg, rel. 14; 22.3 deg, rel. 13; 62.2 deg, rel. 12; 24.3 deg, rel. 12

***

[2]
Simulated X-ray diffraction stick pattern
Compound: Sm3HfPb5
Radiation: Cu Kα (weighted mean of Kα1 and Kα2)
Structure: a crystal structure in Alexandria, relaxed with GGA-PBE
Intensities are scaled so that the largest is 100.

Structure:
```
Sm3HfPb5
1.0
9.5377 0.0000 0.0000
-4.7688 8.2599 0.0000
0.0000 0.0000 6.4428
Sm Hf Pb
6 2 10
direct
0.0000 0.3852 0.2500
0.0000 0.6148 0.7500
0.3852 0.0000 0.2500
0.3852 0.3852 0.7500
0.6148 0.0000 0.7500
0.6148 0.6148 0.2500
0.0000 0.0000 0.0000
0.0000 0.0000 0.5000
0.0000 0.2720 0.7500
0.0000 0.7280 0.2500
0.2720 0.0000 0.7500
0.2720 0.2720 0.2500
0.3333 0.6667 0.0000
0.3333 0.6667 0.5000
0.6667 0.3333 0.0000
0.6667 0.3333 0.5000
0.7280 0.0000 0.2500
0.7280 0.7280 0.7500
```

Most intense lines, 10 to 90 degrees two-theta, most intense first:
33.6 deg, rel. 100; 32.5 deg, rel. 81; 31.9 deg, rel. 54; 47.4 deg, rel. 29; 67.4 deg, rel. 20; 58.7 deg, rel. 18; 51.7 deg, rel. 14; 41.9 deg, rel. 12; 50.2 deg, rel. 12; 64.5 deg, rel. 11

***

[3]
Simulated X-ray diffraction stick pattern
Compound: Hf12Sn3Pb
Radiation: Cu Kα (weighted mean of Kα1 and Kα2)
Structure: a crystal structure in Alexandria, relaxed with GGA-PBE
Intensities are scaled so that the largest is 100.

Structure:
```
Hf12Sn3Pb
1.0
5.5951 0.0000 0.0000
0.0000 5.5968 0.0000
0.0000 0.0000 11.2069
Hf Sn Pb
12 3 1
direct
0.0000 0.0000 0.1247
0.0000 0.0000 0.3741
0.0000 0.0000 0.6259
0.0000 0.0000 0.8753
0.2503 0.5000 0.2476
0.2503 0.5000 0.7524
0.5000 0.2482 0.5000
0.5000 0.2498 0.0000
0.5000 0.7502 0.0000
0.5000 0.7518 0.5000
0.7497 0.5000 0.2476
0.7497 0.5000 0.7524
0.0000 0.5000 0.0000
0.5000 0.0000 0.2501
0.5000 0.0000 0.7499
0.0000 0.5000 0.5000
```

Most intense lines, 10 to 90 degrees two-theta, most intense first:
35.9 deg, rel. 100; 39.4 deg, rel. 63; 62.0 deg, rel. 34; 32.0 deg, rel. 28; 59.5 deg, rel. 23; 78.3 deg, rel. 21; 57.0 deg, rel. 11; 66.8 deg, rel. 10; 80.5 deg, rel. 8; 76.0 deg, rel. 8

***

[4]
Simulated X-ray diffraction stick pattern
Compound: Hf5SnPb
Radiation: Cu Kα (weighted mean of Kα1 and Kα2)
Structure: a crystal structure in Alexandria, relaxed with GGA-PBE
Intensities are scaled so that the largest is 100.

Structure:
```
Hf5SnPb
1.0
6.5059 -4.0436 0.0000
6.5059 4.0436 0.0000
-3.6608 0.0000 7.0424
Hf Sn Pb
10 2 2
direct
0.0093 0.6356 0.9247
0.0374 0.8013 0.3454
0.1987 0.9626 0.1546
0.2072 0.7928 0.7500
0.3644 0.9907 0.5753
0.6356 0.0093 0.4247
0.7928 0.2072 0.2500
0.8013 0.0374 0.8454
0.9626 0.1987 0.6546
0.9907 0.3644 0.0753
0.4303 0.5697 0.2500
0.5697 0.4303 0.7500
0.0000 0.5000 0.5000
0.5000 0.0000 0.0000
```

Most intense lines, 10 to 90 degrees two-theta, most intense first:
35.5 deg, rel. 100; 36.2 deg, rel. 60; 36.6 deg, rel. 58; 13.4 deg, rel. 44; 22.0 deg, rel. 34; 40.8 deg, rel. 29; 34.2 deg, rel. 22; 35.2 deg, rel. 21; 26.9 deg, rel. 15; 42.1 deg, rel. 15

***

[5]
Simulated X-ray diffraction stick pattern
Compound: HfTe2Pb
Radiation: Cu Kα (weighted mean of Kα1 and Kα2)
Structure: a crystal structure in Alexandria, relaxed with GGA-PBE
Intensities are scaled so that the largest is 100.

Structure:
```
HfTe2Pb
1.0
3.8738 0.0000 0.0000
0.0046 6.7774 0.0000
1.8507 1.4661 10.1157
Hf Te Pb
2 4 2
direct
0.0000 0.0000 0.0000
0.5000 0.5000 0.0000
0.0852 0.7059 0.8214
0.4148 0.7932 0.1780
0.5852 0.2067 0.8220
0.9147 0.2941 0.1787
0.2511 0.7004 0.4997
0.7516 0.3006 0.5005
```

Most intense lines, 10 to 90 degrees two-theta, most intense first:
27.3 deg, rel. 100; 27.2 deg, rel. 96; 34.9 deg, rel. 72; 17.5 deg, rel. 71; 26.8 deg, rel. 70; 46.6 deg, rel. 69; 39.8 deg, rel. 68; 36.1 deg, rel. 68; 35.8 deg, rel. 67; 26.6 deg, rel. 66

***

[6]
Simulated X-ray diffraction stick pattern
Compound: Hf5Ti3Pb3
Radiation: Cu Kα (weighted mean of Kα1 and Kα2)
Structure: a crystal structure in Alexandria, relaxed with GGA-PBE
Intensities are scaled so that the largest is 100.

Structure:
```
Hf5Ti3Pb3
1.0
3.1926 0.0000 0.0000
-0.6051 7.9631 0.0000
-1.3036 -3.9765 9.6760
Hf Ti Pb
5 3 3
direct
0.0000 0.0000 0.0000
0.0738 0.6927 0.2655
0.4107 0.7673 0.7273
0.6849 0.0398 0.2728
0.8073 0.4275 0.7343
0.1724 0.1247 0.7918
0.3819 0.3327 0.2081
0.7858 0.3586 0.9999
0.0132 0.4575 0.4665
0.4311 0.6765 0.0000
0.5426 0.9915 0.5334
```

Most intense lines, 10 to 90 degrees two-theta, most intense first:
36.3 deg, rel. 100; 36.6 deg, rel. 46; 37.2 deg, rel. 40; 29.0 deg, rel. 36; 12.0 deg, rel. 35; 34.3 deg, rel. 29; 30.9 deg, rel. 25; 66.5 deg, rel. 21; 29.4 deg, rel. 20; 48.2 deg, rel. 20

***

[7]
Simulated X-ray diffraction stick pattern
Compound: HfTi3Pb
Radiation: Cu Kα (weighted mean of Kα1 and Kα2)
Structure: a crystal structure in Alexandria, relaxed with GGA-PBE
Intensities are scaled so that the largest is 100.

Structure:
```
HfTi3Pb
1.0
3.8759 0.0000 0.0000
0.0000 3.8759 0.0000
0.0000 0.0000 13.7318
Hf Ti Pb
2 6 2
direct
0.0000 0.0000 0.0000
0.5000 0.5000 0.5000
0.0000 0.0000 0.4264
0.0000 0.5000 0.2941
0.0000 0.5000 0.7941
0.5000 0.0000 0.2941
0.5000 0.0000 0.7941
0.5000 0.5000 0.9264
0.0000 0.0000 0.6273
0.5000 0.5000 0.1273
```

Most intense lines, 10 to 90 degrees two-theta, most intense first:
30.2 deg, rel. 100; 35.3 deg, rel. 76; 40.2 deg, rel. 65; 32.7 deg, rel. 41; 12.9 deg, rel. 40; 46.9 deg, rel. 37; 56.8 deg, rel. 35; 63.5 deg, rel. 34; 23.9 deg, rel. 25; 64.0 deg, rel. 17

***

[8]
Simulated X-ray diffraction stick pattern
Compound: Hf3Ti4Pb
Radiation: Cu Kα (weighted mean of Kα1 and Kα2)
Structure: a crystal structure in Alexandria, relaxed with GGA-PBE
Intensities are scaled so that the largest is 100.

Structure:
```
Hf3Ti4Pb
1.0
9.9642 0.0000 0.0000
0.0000 6.1770 0.0000
0.0000 0.0000 5.1884
Hf Ti Pb
6 8 2
direct
0.0000 0.0000 0.0000
0.2500 0.0000 0.3965
0.2500 0.5000 0.3395
0.5000 0.0000 0.0000
0.7500 0.0000 0.6035
0.7500 0.5000 0.6605
0.0000 0.2547 0.5000
0.0000 0.7453 0.5000
0.2500 0.2670 0.8434
0.2500 0.7330 0.8434
0.5000 0.2547 0.5000
0.5000 0.7453 0.5000
0.7500 0.2670 0.1566
0.7500 0.7330 0.1566
0.0000 0.5000 0.0000
0.5000 0.5000 0.0000
```

Most intense lines, 10 to 90 degrees two-theta, most intense first:
38.4 deg, rel. 100; 24.8 deg, rel. 57; 36.1 deg, rel. 44; 28.9 deg, rel. 27; 35.0 deg, rel. 25; 39.2 deg, rel. 24; 66.4 deg, rel. 22; 35.8 deg, rel. 18; 73.4 deg, rel. 17; 46.9 deg, rel. 15

***

[9]
Simulated X-ray diffraction stick pattern
Compound: Hf3Ti3Pb
Radiation: Cu Kα (weighted mean of Kα1 and Kα2)
Structure: a crystal structure in Alexandria, relaxed with GGA-PBE
Intensities are scaled so that the largest is 100.

Structure:
```
Hf3Ti3Pb
1.0
8.2825 0.0000 0.0000
-4.1412 7.1728 0.0000
0.0000 0.0000 4.8096
Hf Ti Pb
6 6 2
direct
0.0833 0.2563 0.2500
0.1730 0.9167 0.2500
0.2563 0.1730 0.7500
0.7437 0.8270 0.2500
0.8270 0.0833 0.7500
0.9167 0.7437 0.7500
0.0947 0.5050 0.7500
0.4103 0.9053 0.7500
0.4950 0.5897 0.7500
0.5050 0.4103 0.2500
0.5897 0.0947 0.2500
0.9053 0.4950 0.2500
0.3333 0.6667 0.2500
0.6667 0.3333 0.7500
```

Most intense lines, 10 to 90 degrees two-theta, most intense first:
38.1 deg, rel. 100; 33.0 deg, rel. 27; 22.3 deg, rel. 26; 37.4 deg, rel. 25; 67.9 deg, rel. 21; 50.7 deg, rel. 16; 59.0 deg, rel. 15; 72.0 deg, rel. 15; 24.8 deg, rel. 11; 72.4 deg, rel. 9

***

[10]
Simulated X-ray diffraction stick pattern
Compound: Hf2Ti4Pb5
Radiation: Cu Kα (weighted mean of Kα1 and Kα2)
Structure: a crystal structure in Alexandria, relaxed with GGA-PBE
Intensities are scaled so that the largest is 100.

Structure:
```
Hf2Ti4Pb5
1.0
6.1468 -3.0162 0.0000
6.1468 3.0162 0.0000
-2.7263 0.0000 6.9297
Hf Ti Pb
2 4 5
direct
0.1626 0.1626 0.2741
0.8374 0.8374 0.7259
0.2607 0.2607 0.6903
0.4019 0.4019 0.5071
0.5981 0.5981 0.4929
0.7393 0.7393 0.3097
0.0000 0.0000 0.5000
0.1549 0.6365 0.1100
0.3635 0.8451 0.8900
0.6365 0.1549 0.1100
0.8451 0.3635 0.8900
```

Most intense lines, 10 to 90 degrees two-theta, most intense first:
32.4 deg, rel. 100; 29.1 deg, rel. 98; 38.2 deg, rel. 86; 36.2 deg, rel. 77; 34.8 deg, rel. 77; 38.9 deg, rel. 75; 22.7 deg, rel. 37; 44.5 deg, rel. 33; 16.6 deg, rel. 33; 39.6 deg, rel. 30

***

[11]
Simulated X-ray diffraction stick pattern
Compound: Hf3Ti6Pb
Radiation: Cu Kα (weighted mean of Kα1 and Kα2)
Structure: a crystal structure in Alexandria, relaxed with GGA-PBE
Intensities are scaled so that the largest is 100.

Structure:
```
Hf3Ti6Pb
1.0
4.6954 2.7109 2.6829
-4.6954 2.7109 2.6829
0.0000 -5.4218 2.6829
Hf Ti Pb
3 6 1
direct
0.1993 0.1993 0.6013
0.1993 0.6013 0.1993
0.6013 0.1993 0.1993
0.3138 0.8132 0.8132
0.5679 0.5679 0.8952
0.5679 0.8952 0.5679
0.8132 0.3138 0.8132
0.8132 0.8132 0.3138
0.8952 0.5679 0.5679
0.0461 0.0461 0.0461
```

Most intense lines, 10 to 90 degrees two-theta, most intense first:
31.1 deg, rel. 100; 36.8 deg, rel. 65; 33.4 deg, rel. 55; 15.5 deg, rel. 52; 38.3 deg, rel. 51; 33.0 deg, rel. 50; 47.7 deg, rel. 42; 31.3 deg, rel. 39; 51.7 deg, rel. 34; 57.8 deg, rel. 21

***

[12]
Simulated X-ray diffraction stick pattern
Compound: HfTi9Pb2
Radiation: Cu Kα (weighted mean of Kα1 and Kα2)
Structure: a crystal structure in Alexandria, relaxed with GGA-PBE
Intensities are scaled so that the largest is 100.

Structure:
```
HfTi9Pb2
1.0
2.8422 1.6409 8.2072
-2.8422 1.6409 8.2072
0.0000 -3.2819 8.2072
Hf Ti Pb
1 9 2
direct
0.0000 0.0000 0.0000
0.0797 0.5815 0.5815
0.3325 0.3325 0.3325
0.4185 0.4185 0.9203
0.4185 0.9203 0.4185
0.5000 0.5000 0.5000
0.5815 0.0797 0.5815
0.5815 0.5815 0.0797
0.6675 0.6675 0.6675
0.9203 0.4185 0.4185
0.1366 0.1366 0.1366
0.8634 0.8634 0.8634
```

Most intense lines, 10 to 90 degrees two-theta, most intense first:
31.5 deg, rel. 100; 38.5 deg, rel. 99; 31.3 deg, rel. 81; 34.4 deg, rel. 65; 36.7 deg, rel. 59; 18.4 deg, rel. 59; 65.7 deg, rel. 51; 55.9 deg, rel. 32; 57.9 deg, rel. 29; 56.0 deg, rel. 27